(1)
Structure and computed X-ray powder pattern of La2MnAs (a DFT-relaxed cell (PBE, Alexandria); Cu Kα, 1.54184 Å).
No peak broadening, texture or thermal motion is included.

Atomic structure:
Cell: 4.293 6.125 6.125 Å, 40.85 90.00 90.00°
Atoms (fractional coordinates):
La 0.000 0.000 0.000
La 0.500 0.285 0.285
Mn 0.500 0.571 0.571
As 0.000 0.709 0.709

The 12 most intense peaks (2θ = 10–90°), low angle first:
2θ 25.92, I 28
2θ 30.52, I 100
2θ 31.17, I 24
2θ 31.38, I 51
2θ 37.70, I 24
2θ 37.88, I 47
2θ 42.10, I 23
2θ 42.29, I 23
2θ 53.44, I 32
2θ 60.47, I 16
2θ 61.20, I 15
2θ 76.41, I 16


(2)
Structure and computed X-ray powder pattern of Y2MnHPd6 (a DFT-relaxed cell (PBE, Alexandria); Cu Kα, 1.54184 Å).
No peak broadening, texture or thermal motion is included.

Atomic structure:
Cell: 5.685 5.685 6.876 Å, 114.40 114.40 60.03°
Atoms (fractional coordinates):
Y 0.222 0.222 0.165
Y 0.778 0.778 0.835
Mn 0.500 0.500 0.000
H 0.000 0.000 0.500
Pd 0.229 0.229 0.689
Pd 0.229 0.728 0.687
Pd 0.272 0.771 0.313
Pd 0.728 0.229 0.687
Pd 0.771 0.272 0.313
Pd 0.771 0.771 0.311

The 12 most intense peaks (2θ = 10–90°), low angle first:
2θ 29.56, I 29
2θ 30.62, I 16
2θ 34.88, I 24
2θ 37.87, I 100
2θ 39.30, I 26
2θ 41.75, I 79
2θ 44.48, I 11
2θ 55.94, I 12
2θ 61.34, I 14
2θ 65.69, I 27
2θ 73.65, I 12
2θ 78.40, I 12


(3)
Structure and computed X-ray powder pattern of CsNa2Sr2 (a DFT-relaxed cell (PBE, Alexandria); Cu Kα, 1.54184 Å).
No peak broadening, texture or thermal motion is included.

Atomic structure:
Cell: 11.430 11.430 4.327 Å, 90.00 90.00 90.00°
Atoms (fractional coordinates):
Cs 0.000 0.000 0.000
Cs 0.500 0.500 0.000
Na 0.159 0.341 0.000
Na 0.341 0.841 0.000
Na 0.659 0.159 0.000
Na 0.841 0.659 0.000
Sr 0.131 0.631 0.500
Sr 0.369 0.131 0.500
Sr 0.631 0.869 0.500
Sr 0.869 0.369 0.500

The 12 most intense peaks (2θ = 10–90°), low angle first:
2θ 15.51, I 21
2θ 17.35, I 30
2θ 22.00, I 21
2θ 23.32, I 71
2θ 24.63, I 100
2θ 25.83, I 21
2θ 27.00, I 71
2θ 35.10, I 32
2θ 37.73, I 38
2θ 47.72, I 30
2θ 49.08, I 30
2θ 51.15, I 25